Entry 1:
# MgSi2
Theoretical PXRD pattern, a wavelength of 1.5418 Å. Input: the PBE geometry in the Materials Project.

Crystal structure
```
data_MgSi2
_chemical_formula_sum 'Mg8 Si16'
_space_group_name_H-M_alt 'P 21 21 21'
_space_group_IT_number 19
_cell_length_a 5.988
_cell_length_b 7.152
_cell_length_c 9.800
_cell_angle_alpha 90.00
_cell_angle_beta 90.00
_cell_angle_gamma 90.00
loop_
_space_group_symop_operation_xyz
'x,y,z'
'-x+1/2,-y,z+1/2'
'x+1/2,-y+1/2,-z'
'-x,y+1/2,-z+1/2'
loop_
_atom_site_label
_atom_site_fract_x
_atom_site_fract_y
_atom_site_fract_z
Mg1 0.234 0.067 0.168
Mg2 0.249 0.525 0.859
Si1 0.042 0.684 0.102
Si2 0.047 0.149 0.886
Si3 0.052 0.851 0.411
Si4 0.061 0.317 0.627
```

Largest 10 diffraction maxima, sorted by position, 10 to 80 degrees two-theta:
hkl, 2theta, d [Å], intensity
1 2 1, 30.51, 2.930, 318
0 0 4, 36.68, 2.450, 572
2 1 2, 37.37, 2.406, 1000
0 1 4, 38.86, 2.317, 223
2 2 0, 39.24, 2.296, 386
1 2 3, 40.32, 2.237, 177
0 3 2, 42.15, 2.144, 759
3 1 1, 48.24, 1.887, 219
2 2 4, 54.80, 1.675, 187
3 1 3, 55.46, 1.657, 177


Entry 2:
# K2RbRuF6
Theoretical PXRD pattern, a wavelength of 1.5418 Å. Input: the PBE geometry in the Materials Project.

Crystal structure
```
data_K2RbRuF6
_chemical_formula_sum 'K8 Rb4 Ru4 F24'
_space_group_name_H-M_alt 'F m -3 m'
_space_group_IT_number 225
_space_group_name_Hall '-F 4 2 3'
_cell_length_a 9.264
_cell_length_b 9.264
_cell_length_c 9.264
_cell_angle_alpha 90.00
_cell_angle_beta 90.00
_cell_angle_gamma 90.00
loop_
_atom_site_label
_atom_site_fract_x
_atom_site_fract_y
_atom_site_fract_z
K1 0.250 0.250 0.250
Rb1 0.000 0.000 0.000
Ru1 0.000 0.000 0.500
F1 0.000 0.000 0.282
```

Largest 10 diffraction maxima, sorted by position, 10 to 80 degrees two-theta:
hkl, 2theta, d [Å], intensity
2 0 0, 19.16, 4.632, 472
2 2 0, 27.23, 3.275, 1000
4 0 0, 38.89, 2.316, 468
4 2 0, 43.70, 2.071, 188
4 2 2, 48.12, 1.891, 363
4 4 0, 56.17, 1.638, 270
6 0 0, 59.91, 1.544, 89
6 2 0, 63.51, 1.465, 199
4 4 4, 70.42, 1.337, 80
6 4 2, 77.03, 1.238, 209